# Ho2Er2Tl5
Theoretical PXRD pattern, CuKα. Input: a PBE-relaxed structure.
Neutral-atom scattering factors, no anomalous dispersion.

Peak list (12 most intense, 10° ≤ 2θ ≤ 80°, most intense first)
(hkl), 2θ (°), intensity
3 1 2, 29.8, 100
4 2 1, 33.6, 86
1 1 3, 35.4, 64
1 3 1, 35.8, 62
0 2 2, 31.3, 40
5 1 1, 32.2, 39
6 0 0, 33.7, 31
2 2 1, 27.2, 26
4 2 5, 66.2, 25
0 2 4, 50.3, 23
7 3 3, 63.7, 22
5 1 2, 37.5, 21

Cell and atoms:
```
data_Ho2Er2Tl5
_cell_length_a 15.9412
_cell_length_b 8.0166
_cell_length_c 8.1441
_cell_angle_alpha 90.00
_cell_angle_beta 90.00
_cell_angle_gamma 90.00
_space_group_name_H-M_alt 'C m c e'
_space_group_IT_number 64
_space_group_name_Hall '-C 2ac 2'
loop_
_atom_site_label
_atom_site_fract_x
_atom_site_fract_y
_atom_site_fract_z
_atom_site_occupancy
Ho1 0.0000 0.1521 0.1562 1
Er1 0.1988 0.0000 0.5000 1
Tl1 0.0000 0.0000 0.5000 1
Tl2 0.1376 0.1487 0.8529 1
```